Record 1
This entry pairs a crystal structure of Li3FeO4 with its simulated X-ray diffraction stick pattern. Radiation: Cu Ka. Structure: a cell relaxed with GGA+U.
No peak broadening, texture or thermal motion is included.

Top 10 peaks for 10° ≤ 2θ ≤ 90°, by angle:
Position (°2θ)  intensity
20.4  32
24.1  100
31.1  20
41.5  22
44.5  42
49.4  10
51.3  21
57.6  14
62.5  21
75.6  10

Structural model:
```
data_Li3FeO4
_cell_length_a 5.760
_cell_length_b 5.756
_cell_length_c 8.694
_cell_angle_alpha 90.00
_cell_angle_beta 90.00
_cell_angle_gamma 90.00
_space_group_name_H-M_alt 'A e a 2'
_space_group_IT_number 41
_space_group_name_Hall 'A 2 -2ab'
loop_
_atom_site_label
_atom_site_type_symbol
_atom_site_fract_x
_atom_site_fract_y
_atom_site_fract_z
Li1 Li 0.000 0.000 0.000
Li2 Li 0.248 0.245 0.728
Fe1 Fe 0.000 0.000 0.472
O1 O 0.000 0.000 0.258
O2 O 0.000 0.000 0.684
O3 O 0.231 0.268 0.975
```

=====

Record 2
This entry pairs a crystal structure of Li3Co4B4O12 with its simulated X-ray diffraction stick pattern. Radiation: Cu Ka. Structure: a cell relaxed with GGA+U.
No peak broadening, texture or thermal motion is included.

Top 10 peaks for 10° ≤ 2θ ≤ 90°, by angle:
Position (°2θ)  intensity
19.7  22
19.9  43
21.8  100
26.2  37
26.9  31
34.4  23
34.7  46
35.6  70
40.8  33
61.8  24

Structural model:
```
data_Li3Co4B4O12
_cell_length_a 5.220
_cell_length_b 8.916
_cell_length_c 11.216
_cell_angle_alpha 90.00
_cell_angle_beta 115.90
_cell_angle_gamma 90.00
_space_group_name_H-M_alt 'P 1 c 1'
_space_group_IT_number 7
_space_group_name_Hall 'P -2yc'
loop_
_atom_site_label
_atom_site_type_symbol
_atom_site_fract_x
_atom_site_fract_y
_atom_site_fract_z
Li1 Li 0.000 0.249 0.000
Li2 Li 0.410 0.250 0.729
Li3 Li 0.530 0.249 0.507
Co1 Co 0.410 0.409 0.220
Co2 Co 0.496 0.085 0.983
Co3 Co 0.923 0.074 0.737
Co4 Co 0.984 0.409 0.458
B1 B 0.000 0.082 0.480
B2 B 0.409 0.084 0.219
B3 B 0.484 0.420 0.963
B4 B 0.900 0.416 0.718
O1 O 0.080 0.054 0.942
O2 O 0.135 0.429 0.690
O3 O 0.159 0.210 0.496
O4 O 0.266 0.221 0.209
O5 O 0.277 0.422 0.013
O6 O 0.315 0.043 0.757
O7 O 0.570 0.441 0.432
O8 O 0.595 0.290 0.943
O9 O 0.629 0.082 0.183
O10 O 0.761 0.083 0.503
O11 O 0.765 0.282 0.707
O12 O 0.797 0.456 0.257
```